[1]
The following is a simulated powder XRD pattern of Nd2Sm2CICl4. It was derived from a GGA-PBE-relaxed structure, using λ = 1.5418 Å (Cu Kα).
Lines closer than 0.1° are merged.

Structure:
Cell: 17.5818 3.9372 8.8324 Å, 90.00 105.25 90.00°
Space group C2/m (No. 12)
Symmetry-distinct sites (fractional):
Nd 0.0007 0.0000 0.3043 [4 per cell]
Sm 0.1452 0.5000 0.5803 [4 per cell]
C 0.0000 0.5000 0.5000 [2 per cell]
I 0.0000 0.5000 0.0000 [2 per cell]
Cl 0.1676 0.0000 0.8104 [4 per cell]
Cl 0.1716 0.0000 0.3689 [4 per cell]

Peak list (10 most intense, 5 to 70 degrees two-theta, sorted by position)
| d/Å | I_rel |
| --- | --- |
| 8.501 | 100.0 |
| 5.349 | 15.5 |
| 4.271 | 17.1 |
| 3.184 | 19.6 |
| 2.939 | 73.7 |
| 2.881 | 25.6 |
| 2.827 | 31.0 |
| 2.046 | 18.8 |
| 2.029 | 19.6 |
| 1.969 | 14.0 |

[2]
The following is a simulated powder XRD pattern of Nd2Sm2C2I2Cl3. It was derived from a GGA-PBE-relaxed structure, using λ = 1.5418 Å (Cu Kα).
Lines closer than 0.1° are merged.

Structure:
Cell: 19.8397 3.8976 8.0378 Å, 90.00 102.02 90.00°
Space group C2/m (No. 12)
Symmetry-distinct sites (fractional):
Nd 0.1524 0.0000 0.0966 [4 per cell]
Sm 0.0010 0.5000 0.2064 [4 per cell]
C 0.0361 0.0000 0.0202 [4 per cell]
I 0.1675 0.5000 0.7942 [4 per cell]
Cl 0.0000 0.0000 0.5000 [2 per cell]
Cl 0.1480 0.5000 0.3469 [4 per cell]

Peak list (10 most intense, 5 to 70 degrees two-theta, sorted by position)
| d/Å | I_rel |
| --- | --- |
| 7.862 | 65.6 |
| 3.931 | 14.0 |
| 3.494 | 20.0 |
| 3.234 | 63.8 |
| 2.798 | 100.0 |
| 2.724 | 19.2 |
| 2.120 | 26.9 |
| 2.112 | 34.6 |
| 1.949 | 16.7 |
| 1.669 | 18.1 |

[3]
The following is a simulated powder XRD pattern of Nd2Sm2CICl4. It was derived from a GGA-PBE-relaxed structure, using λ = 1.5418 Å (Cu Kα).
Lines closer than 0.1° are merged.

Structure:
Cell: 17.6581 3.9342 8.6530 Å, 90.00 105.59 90.00°
Space group C2/m (No. 12)
Symmetry-distinct sites (fractional):
Nd 0.1469 0.0000 0.0845 [4 per cell]
Sm 0.0006 0.5000 0.8050 [4 per cell]
C 0.0000 0.0000 0.0000 [2 per cell]
I 0.0000 0.0000 0.5000 [2 per cell]
Cl 0.1643 0.5000 0.3251 [4 per cell]
Cl 0.1688 0.5000 0.8574 [4 per cell]

Peak list (10 most intense, 5 to 70 degrees two-theta, sorted by position)
| d/Å | I_rel |
| --- | --- |
| 8.504 | 76.8 |
| 8.335 | 58.6 |
| 4.282 | 20.3 |
| 3.182 | 29.3 |
| 2.910 | 100.0 |
| 2.869 | 35.8 |
| 2.835 | 46.1 |
| 2.319 | 26.7 |
| 2.048 | 27.2 |
| 2.014 | 29.1 |

[4]
The following is a simulated powder XRD pattern of Nd2Sm2C2I2Cl3. It was derived from a GGA-PBE-relaxed structure, using λ = 1.5418 Å (Cu Kα).
Lines closer than 0.1° are merged.

Structure:
Cell: 19.8147 3.9197 8.0558 Å, 90.00 102.68 90.00°
Space group C2/m (No. 12)
Symmetry-distinct sites (fractional):
Nd 0.0018 0.0000 0.2097 [4 per cell]
Sm 0.1513 0.5000 0.0953 [4 per cell]
C 0.0364 0.5000 0.0199 [4 per cell]
I 0.1687 0.0000 0.8013 [4 per cell]
Cl 0.0000 0.5000 0.5000 [2 per cell]
Cl 0.1538 0.0000 0.3412 [4 per cell]

Peak list (10 most intense, 5 to 70 degrees two-theta, sorted by position)
| d/Å | I_rel |
| --- | --- |
| 7.859 | 73.8 |
| 3.512 | 21.5 |
| 3.221 | 74.6 |
| 2.809 | 100.0 |
| 2.753 | 14.7 |
| 2.735 | 20.3 |
| 2.130 | 28.3 |
| 2.105 | 37.1 |
| 1.960 | 17.6 |
| 1.675 | 18.9 |

[5]
The following is a simulated powder XRD pattern of Nd2Sm2C2ICl4. It was derived from a GGA-PBE-relaxed structure, using λ = 1.5418 Å (Cu Kα).
Lines closer than 0.1° are merged.

Structure:
Cell: 18.8915 3.9075 8.4565 Å, 90.00 104.95 90.00°
Space group C2/m (No. 12)
Symmetry-distinct sites (fractional):
Nd 0.1611 0.0000 0.0979 [4 per cell]
Sm 0.0010 0.5000 0.1915 [4 per cell]
C 0.0385 0.0000 0.0215 [4 per cell]
I 0.0000 0.0000 0.5000 [2 per cell]
Cl 0.1594 0.5000 0.3362 [4 per cell]
Cl 0.1681 0.5000 0.8505 [4 per cell]

Peak list (10 most intense, 5 to 70 degrees two-theta, sorted by position)
| d/Å | I_rel |
| --- | --- |
| 9.126 | 73.1 |
| 8.170 | 58.3 |
| 5.431 | 27.4 |
| 3.209 | 41.4 |
| 3.042 | 67.6 |
| 2.913 | 33.3 |
| 2.869 | 100.0 |
| 2.661 | 21.3 |
| 2.113 | 48.1 |
| 2.063 | 39.8 |

[6]
The following is a simulated powder XRD pattern of Nd2Y2CI2Cl3. It was derived from a GGA-PBE-relaxed structure, using λ = 1.5418 Å (Cu Kα).
Lines closer than 0.1° are merged.

Structure:
Cell: 18.2449 3.8848 8.0826 Å, 90.00 101.22 90.00°
Space group C2/m (No. 12)
Symmetry-distinct sites (fractional):
Nd 0.1395 0.0000 0.0615 [4 per cell]
Y 0.0025 0.5000 0.7946 [4 per cell]
C 0.0000 0.0000 0.0000 [2 per cell]
I 0.1651 0.5000 0.3678 [4 per cell]
Cl 0.0000 0.0000 0.5000 [2 per cell]
Cl 0.1600 0.5000 0.8172 [4 per cell]

Peak list (10 most intense, 5 to 70 degrees two-theta, sorted by position)
| d/Å | I_rel |
| --- | --- |
| 7.928 | 22.7 |
| 6.606 | 38.6 |
| 4.268 | 22.3 |
| 3.130 | 31.9 |
| 2.983 | 47.5 |
| 2.905 | 46.7 |
| 2.800 | 100.0 |
| 2.410 | 23.3 |
| 2.061 | 24.4 |
| 2.022 | 40.3 |

[7]
The following is a simulated powder XRD pattern of Nd2Y2CI2Cl3. It was derived from a GGA-PBE-relaxed structure, using λ = 1.5418 Å (Cu Kα).
Lines closer than 0.1° are merged.

Structure:
Cell: 18.6294 3.9157 8.1354 Å, 90.00 100.91 90.00°
Space group C2/m (No. 12)
Symmetry-distinct sites (fractional):
Nd 0.0012 0.0000 0.2861 [4 per cell]
Y 0.1321 0.5000 0.5679 [4 per cell]
C 0.0000 0.5000 0.5000 [2 per cell]
I 0.1760 0.0000 0.3082 [4 per cell]
Cl 0.0000 0.5000 0.0000 [2 per cell]
Cl 0.1543 0.0000 0.8081 [4 per cell]

Peak list (10 most intense, 5 to 70 degrees two-theta, sorted by position)
| d/Å | I_rel |
| --- | --- |
| 9.146 | 26.3 |
| 7.988 | 68.5 |
| 3.994 | 21.5 |
| 3.829 | 25.5 |
| 3.049 | 46.3 |
| 2.820 | 100.0 |
| 2.681 | 31.3 |
| 2.673 | 38.7 |
| 2.092 | 29.6 |
| 2.050 | 23.2 |

[8]
The following is a simulated powder XRD pattern of Pr2Sc2CI3Cl2. It was derived from a GGA-PBE-relaxed structure, using λ = 1.5418 Å (Cu Kα).
Lines closer than 0.1° are merged.

Structure:
Cell: 18.0917 3.8660 9.0418 Å, 90.00 103.01 90.00°
Space group C2/m (No. 12)
Symmetry-distinct sites (fractional):
Pr 0.0017 0.0000 0.3053 [4 per cell]
Sc 0.1281 0.5000 0.5568 [4 per cell]
C 0.0000 0.5000 0.5000 [2 per cell]
I 0.0000 0.5000 0.0000 [2 per cell]
I 0.1782 0.0000 0.8051 [4 per cell]
Cl 0.1655 0.0000 0.3896 [4 per cell]

Peak list (10 most intense, 5 to 70 degrees two-theta, sorted by position)
| d/Å | I_rel |
| --- | --- |
| 8.813 | 42.5 |
| 7.078 | 15.3 |
| 4.353 | 18.7 |
| 3.533 | 17.5 |
| 2.996 | 19.8 |
| 2.938 | 100.0 |
| 2.918 | 17.8 |
| 2.605 | 16.6 |
| 2.095 | 19.8 |
| 2.060 | 15.8 |